Structure and simulated PXRD pattern of Nb2CoO6 (a crystal structure in OQMD, relaxed with GGA+U; Cu Kα (weighted mean of Kα1 and Kα2)).
Intensities are scaled so that the largest is 100.

Peak list (8 most intense, 10° ≤ 2θ ≤ 80°, sorted by position)
d (Å)  two_theta  Rel. int.
4.405  20.2  28
3.147  28.4  100
2.597  34.5  49
2.237  40.3  35
2.003  45.3  27
1.680  54.6  53
1.586  58.2  24
1.499  61.9  22

Atomic structure:
```
Nb2CoO6
1.0
5.194 0.000 0.000
-2.597 4.498 0.000
0.000 0.000 4.405
Nb Co O
2 1 6
direct
0.333 0.667 0.000 Nb
0.667 0.333 0.000 Nb
0.000 0.000 0.500 Co
0.000 0.346 0.758 O
0.000 0.654 0.242 O
0.346 0.000 0.758 O
0.346 0.346 0.242 O
0.654 0.000 0.242 O
0.654 0.654 0.758 O
```

Structure and simulated PXRD pattern of Nb2CoO4 (a crystal structure in OQMD, relaxed with GGA+U; Cu Kα (weighted mean of Kα1 and Kα2)).
Intensities are scaled so that the largest is 100.

Peak list (8 most intense, 10° ≤ 2θ ≤ 80°, sorted by position)
d (Å)  two_theta  Rel. int.
5.025  17.7  26
3.077  29.0  16
2.624  34.2  100
2.512  35.7  24
2.176  41.5  28
1.675  54.8  33
1.539  60.1  45
1.312  72.0  11

Atomic structure:
```
Nb2CoO4
1.0
0.000 4.352 4.352
4.352 0.000 4.352
4.352 4.352 0.000
Nb Co O
4 2 8
direct
0.000 0.000 0.000 Nb
0.000 0.000 0.500 Nb
0.000 0.500 0.000 Nb
0.500 0.000 0.000 Nb
0.375 0.375 0.375 Co
0.625 0.625 0.625 Co
0.244 0.752 0.752 O
0.248 0.248 0.248 O
0.248 0.248 0.756 O
0.248 0.756 0.248 O
0.752 0.244 0.752 O
0.752 0.752 0.244 O
0.752 0.752 0.752 O
0.756 0.248 0.248 O
```